For Ac5Te4I, a PBE-relaxed structure gives the simulated powder diffraction line list in this record (a wavelength of 1.5418 Å).

Principal peaks in the range 10 to 80 degrees two-theta, sorted by position:
2θ (°), I (rel.), h k l
26.7, 100, 2 1 1
37.2, 28, 2 -1 0
37.4, 14, 2 2 -1
38.8, 12, 2 0 3
38.9, 24, 2 3 2
45.1, 11, 2 0 -2
47.7, 14, 2 2 4
54.9, 9, 0 4 2
60.9, 13, 4 0 1
63.3, 11, 4 4 3

Structure:
```
data_Ac5Te4I
_chemical_formula_sum 'Ac5 Te4 I1'
_symmetry_space_group_name_H-M 'P 1'
_symmetry_Int_Tables_number 1
_cell_length_a 6.6895
_cell_length_b 8.0115
_cell_length_c 8.1583
_cell_angle_alpha 80.46
_cell_angle_beta 68.86
_cell_angle_gamma 66.64
loop_
_symmetry_equiv_pos_as_xyz
'x,y,z'
loop_
_atom_site_label
_atom_site_fract_x
_atom_site_fract_y
_atom_site_fract_z
Ac1 0.0000 0.0000 0.0000
Ac2 0.1862 0.4110 0.2123
Ac3 0.3759 0.8224 0.4252
Ac4 0.5864 0.1985 0.6236
Ac5 0.7901 0.6235 0.8018
Te1 0.0800 0.2203 0.6139
Te2 0.2964 0.6020 0.8111
Te3 0.4864 0.0085 0.0213
Te4 0.8897 0.8135 0.4039
I1 0.6860 0.4110 0.2127
```

---

For Ac2TeI3, a PBE-relaxed structure gives the simulated powder diffraction line list in this record (a wavelength of 1.5418 Å).

Principal peaks in the range 10 to 80 degrees two-theta, sorted by position:
2θ (°), I (rel.), h k l
13.3, 49, 1 0 1
20.1, 54, 1 0 2
21.0, 76, 1 1 0
25.7, 75, 2 1 -2
29.8, 63, 4 0 -2
29.9, 83, 3 1 -2
34.1, 100, 1 1 -4
36.4, 36, 4 1 -1
39.1, 42, 0 2 0
39.7, 70, 3 1 2

Structure:
```
data_Ac2TeI3
_chemical_formula_sum 'Ac4 Te2 I6'
_symmetry_space_group_name_H-M 'P 1 21/m 1'
_symmetry_Int_Tables_number 11
_cell_length_a 11.9941
_cell_length_b 4.6083
_cell_length_c 13.0247
_cell_angle_alpha 90.00
_cell_angle_beta 115.58
_cell_angle_gamma 90.00
loop_
_symmetry_equiv_pos_as_xyz
'x,y,z'
'-x,-y,-z'
'-x,y+1/2,-z'
'x,-y+1/2,z'
loop_
_atom_site_label
_atom_site_fract_x
_atom_site_fract_y
_atom_site_fract_z
Ac1 0.0273 0.2500 0.3337
Ac2 0.2042 0.2500 0.1158
Te1 0.0221 0.7500 0.1513
I1 0.1596 0.2500 0.6227
I2 0.3235 0.2500 0.3938
I3 0.3510 0.7500 0.0396
```

---

For AcTlI, a PBE-relaxed structure gives the simulated powder diffraction line list in this record (a wavelength of 1.5418 Å).

Principal peaks in the range 10 to 80 degrees two-theta, sorted by position:
2θ (°), I (rel.), h k l
26.9, 100, 1 0 7
28.5, 11, 0 1 8
32.1, 24, 1 0 10
36.7, 51, 1 1 0
37.5, 14, 1 1 3
40.1, 22, 0 1 14
46.2, 24, 0 2 7
46.8, 11, 0 1 17
60.4, 21, 2 1 7
66.2, 9, 3 0 0

Structure:
```
data_AcTlI
_chemical_formula_sum 'Ac6 Tl6 I6'
_symmetry_space_group_name_H-M 'R -3 m'
_symmetry_Int_Tables_number 166
_symmetry_space_group_name_Hall '-R 3 2"'
_cell_length_a 4.8920
_cell_length_b 4.8920
_cell_length_c 37.0932
_cell_angle_alpha 90.00
_cell_angle_beta 90.00
_cell_angle_gamma 120.00
loop_
_atom_site_label
_atom_site_fract_x
_atom_site_fract_y
_atom_site_fract_z
Ac1 0.0000 0.0000 0.0615
Tl1 0.0000 0.0000 0.3484
I1 0.0000 0.0000 0.2182
```

---

For Ac5Tl4I, a PBE-relaxed structure gives the simulated powder diffraction line list in this record (a wavelength of 1.5418 Å).

Principal peaks in the range 10 to 80 degrees two-theta, sorted by position:
2θ (°), I (rel.), h k l
30.0, 100, 1 0 5
32.2, 42, 1 1 0
39.3, 12, 0 0 10
46.2, 16, 2 0 0
51.7, 22, 1 1 10
56.1, 35, 2 1 5
62.2, 13, 2 0 10
65.5, 10, 1 0 15
75.5, 7, 3 0 5
76.7, 7, 3 1 0

Structure:
```
data_Ac5Tl4I
_chemical_formula_sum 'Ac5 Tl4 I1'
_symmetry_space_group_name_H-M 'P 4/m m m'
_symmetry_Int_Tables_number 123
_symmetry_space_group_name_Hall '-P 4 2'
_cell_length_a 3.9289
_cell_length_b 3.9289
_cell_length_c 22.9234
_cell_angle_alpha 90.00
_cell_angle_beta 90.00
_cell_angle_gamma 90.00
loop_
_atom_site_label
_atom_site_fract_x
_atom_site_fract_y
_atom_site_fract_z
Ac1 0.0000 0.0000 0.0000
Ac2 0.0000 0.0000 0.1991
Ac3 0.0000 0.0000 0.3924
Tl1 0.5000 0.5000 0.0998
Tl2 0.5000 0.5000 0.3004
I1 0.5000 0.5000 0.5000
```

---

For Ac7TlI12, a PBE-relaxed structure gives the simulated powder diffraction line list in this record (a wavelength of 1.5418 Å).

Principal peaks in the range 10 to 80 degrees two-theta, sorted by position:
2θ (°), I (rel.), h k l
10.1, 36, 1 1 0
27.0, 16, 3 2 1
27.2, 100, 3 1 2
37.1, 41, 2 5 0
40.4, 30, 4 -3 4
46.6, 20, 8 -6 2
56.0, 10, 6 2 4
61.0, 16, 5 6 2
65.6, 10, 2 5 6
69.1, 9, 1 9 4

Structure:
```
data_Ac7TlI12
_chemical_formula_sum 'Ac21 Tl3 I36'
_symmetry_space_group_name_H-M 'R -3'
_symmetry_Int_Tables_number 148
_symmetry_space_group_name_Hall '-R 3'
_cell_length_a 17.4801
_cell_length_b 17.4801
_cell_length_c 10.5423
_cell_angle_alpha 90.00
_cell_angle_beta 90.00
_cell_angle_gamma 120.00
loop_
_atom_site_label
_atom_site_fract_x
_atom_site_fract_y
_atom_site_fract_z
Ac1 0.0000 0.0000 0.0000
Ac2 0.0445 0.1652 0.3117
Tl1 0.0000 0.0000 0.5000
I1 0.0355 0.5900 0.1620
I2 0.0525 0.1955 0.8533
```

---

For AcYI, a PBE-relaxed structure gives the simulated powder diffraction line list in this record (a wavelength of 1.5418 Å).

Principal peaks in the range 10 to 80 degrees two-theta, sorted by position:
2θ (°), I (rel.), h k l
18.3, 17, 1 0 0
28.9, 100, 1 0 1
32.0, 67, 1 1 0
43.7, 33, 2 0 1
45.2, 9, 0 0 2
55.2, 33, 2 1 1
56.5, 27, 1 1 2
57.1, 13, 3 0 0
74.5, 14, 3 1 1
75.6, 11, 3 0 2

Structure:
```
data_AcYI
_chemical_formula_sum 'Ac1 Y1 I1'
_symmetry_space_group_name_H-M 'P -6 m 2'
_symmetry_Int_Tables_number 187
_symmetry_space_group_name_Hall 'P -6 2'
_cell_length_a 5.5916
_cell_length_b 5.5916
_cell_length_c 4.0110
_cell_angle_alpha 90.00
_cell_angle_beta 90.00
_cell_angle_gamma 120.00
loop_
_atom_site_label
_atom_site_fract_x
_atom_site_fract_y
_atom_site_fract_z
Ac1 0.0000 0.0000 0.0000
Y1 0.6667 0.3333 0.5000
I1 0.3333 0.6667 0.5000
```

---

For Ac2In, a PBE-relaxed structure gives the simulated powder diffraction line list in this record (a wavelength of 1.5418 Å).

Principal peaks in the range 10 to 80 degrees two-theta, sorted by position:
2θ (°), I (rel.), h k l
21.1, 12, 0 2 1
29.6, 100, 1 1 2
30.3, 97, 2 0 0
42.9, 37, 2 2 2
53.4, 39, 3 1 2
53.9, 20, 3 3 0
58.4, 31, 2 0 4
63.1, 12, 4 0 0
71.2, 17, 4 2 2
75.5, 15, 3 3 4

Structure:
```
data_Ac2In
_chemical_formula_sum 'Ac8 In4'
_symmetry_space_group_name_H-M 'C m c m'
_symmetry_Int_Tables_number 63
_symmetry_space_group_name_Hall '-C 2c 2'
_cell_length_a 5.8956
_cell_length_b 10.1977
_cell_length_c 7.4857
_cell_angle_alpha 90.00
_cell_angle_beta 90.00
_cell_angle_gamma 90.00
loop_
_atom_site_label
_atom_site_fract_x
_atom_site_fract_y
_atom_site_fract_z
Ac1 0.0000 0.0000 0.0000
Ac2 0.0000 0.3335 0.2500
In1 0.0000 0.3330 0.7500
```

---

For Ac7In3, a PBE-relaxed structure gives the simulated powder diffraction line list in this record (a wavelength of 1.5418 Å).

Principal peaks in the range 10 to 80 degrees two-theta, sorted by position:
2θ (°), I (rel.), h k l
23.6, 18, 2 1 0
26.8, 100, 2 1 1
27.0, 46, 1 0 2
29.7, 82, 3 0 1
31.0, 37, 2 2 0
31.2, 48, 2 0 2
43.5, 15, 4 1 1
47.3, 43, 3 3 0
47.4, 29, 3 2 2
71.3, 22, 7 1 0

Structure:
```
data_Ac7In3
_chemical_formula_sum 'Ac14 In6'
_symmetry_space_group_name_H-M 'P 63 m c'
_symmetry_Int_Tables_number 186
_symmetry_space_group_name_Hall 'P 6c -2c'
_cell_length_a 11.5323
_cell_length_b 11.5323
_cell_length_c 7.0087
_cell_angle_alpha 90.00
_cell_angle_beta 90.00
_cell_angle_gamma 120.00
loop_
_atom_site_label
_atom_site_fract_x
_atom_site_fract_y
_atom_site_fract_z
Ac1 0.0745 0.5373 0.0000
Ac2 0.1235 0.2470 0.2342
Ac3 0.3333 0.6667 0.4415
In1 0.1916 0.3832 0.6975
```